SrLiCeO4: theoretical XRD peak list (Cu Kα), based on a cell relaxed with GGA-PBE.

Largest 10 diffraction maxima, sorted by position, 2θ = 10–90°:
- 25.3 deg, intensity 100, (1 1 1)
- 27.5 deg, intensity 38, (0 4 0)
- 31.0 deg, intensity 48, (0 0 2)
- 32.0 deg, intensity 90, (1 3 1)
- 38.1 deg, intensity 27, (2 0 0)
- 41.8 deg, intensity 46, (0 4 2)
- 42.7 deg, intensity 21, (1 5 1)
- 47.6 deg, intensity 31, (2 4 0)
- 49.9 deg, intensity 39, (2 0 2)
- 55.5 deg, intensity 31, (1 7 1)

a = 4.7243 Å, b = 12.9963 Å, c = 5.7785 Å
α = 90.00°, β = 90.00°, γ = 90.00°
Space group Cmcm (No. 63)
Asymmetric unit:
1 Sr 0.0000 0.1068 0.2500 (multiplicity 4)
2 Li 0.0000 0.2396 0.7500 (multiplicity 4)
3 Ce 0.0000 0.3825 0.2500 (multiplicity 4)
4 O 0.0000 0.0848 0.7500 (multiplicity 4)
5 O 0.0000 0.4557 0.7500 (multiplicity 4)
6 O 0.2500 0.2500 0.0000 (multiplicity 8)